1.
For Zr3Co2Ge3, a cell relaxed with GGA-PBE gives the theoretical PXRD pattern in this record (copper Kα).

Top 8 peaks for 10° ≤ 2θ ≤ 80°, in order of rising 2θ:
| 2theta | Rel. int. |
| --- | --- |
| 34.9 | 22.1 |
| 35.6 | 64.6 |
| 36.6 | 100.0 |
| 38.3 | 27.4 |
| 40.6 | 75.4 |
| 40.9 | 41.4 |
| 44.6 | 21.6 |
| 46.3 | 48.4 |

Crystal structure
Cell: 5.4678 5.4678 13.2346 Å, 90.00 90.00 137.99°
Element x y z (fractional)
Zr  0.0764  0.9236  0.6144
Zr  0.0764  0.9236  0.8856
Zr  0.3611  0.6389  0.7500
Zr  0.6389  0.3611  0.2500
Zr  0.9236  0.0764  0.1144
Zr  0.9236  0.0764  0.3856
Co  0.2239  0.7761  0.0858
Co  0.2239  0.7761  0.4142
Co  0.7761  0.2239  0.5858
Co  0.7761  0.2239  0.9142
Ge  0.3414  0.6586  0.2500
Ge  0.3873  0.6127  0.5445
Ge  0.3873  0.6127  0.9555
Ge  0.6127  0.3873  0.0445
Ge  0.6127  0.3873  0.4555
Ge  0.6586  0.3414  0.7500



2.
For Cs2NdTmO4, a cell relaxed with GGA-PBE gives the theoretical PXRD pattern in this record (copper Kα).

Top 8 peaks for 10° ≤ 2θ ≤ 80°, in order of rising 2θ:
| 2theta | Rel. int. |
| --- | --- |
| 26.2 | 43.4 |
| 29.7 | 25.4 |
| 31.8 | 100.0 |
| 35.2 | 33.8 |
| 49.9 | 34.6 |
| 51.3 | 28.5 |
| 58.4 | 28.5 |
| 61.6 | 15.4 |

Crystal structure
Cell: 3.5646 3.5646 13.6192 Å, 90.00 90.00 120.00°
Element x y z (fractional)
Cs  0.3333  0.6667  0.2546
Cs  0.6667  0.3333  0.7454
Nd  0.0000  0.0000  0.0000
Tm  0.0000  0.0000  0.5000
O  0.3333  0.6667  0.5792
O  0.3333  0.6667  0.9099
O  0.6667  0.3333  0.0901
O  0.6667  0.3333  0.4208



3.
For Mg4Mo3, a cell relaxed with GGA-PBE gives the theoretical PXRD pattern in this record (copper Kα).

Top 8 peaks for 10° ≤ 2θ ≤ 80°, in order of rising 2θ:
| 2theta | Rel. int. |
| --- | --- |
| 12.7 | 100.0 |
| 34.0 | 19.1 |
| 38.5 | 17.9 |
| 39.3 | 71.5 |
| 40.7 | 11.2 |
| 49.3 | 10.8 |
| 52.4 | 10.7 |
| 70.2 | 12.2 |

Crystal structure
Cell: 8.0451 8.0451 4.6717 Å, 90.00 90.00 120.00°
Element x y z (fractional)
Mg  0.0866  0.6263  0.2500
Mg  0.3333  0.6667  0.7500
Mg  0.3737  0.4602  0.2500
Mg  0.4602  0.0866  0.7500
Mg  0.5398  0.9134  0.2500
Mg  0.6263  0.5398  0.7500
Mg  0.6667  0.3333  0.2500
Mg  0.9134  0.3737  0.7500
Mo  0.0374  0.8340  0.7500
Mo  0.1660  0.2034  0.7500
Mo  0.2034  0.0374  0.2500
Mo  0.7966  0.9626  0.7500
Mo  0.8340  0.7966  0.2500
Mo  0.9626  0.1660  0.2500



4.
For Tm2CdBrClO2, a cell relaxed with GGA-PBE gives the theoretical PXRD pattern in this record (copper Kα).

Top 8 peaks for 10° ≤ 2θ ≤ 80°, in order of rising 2θ:
| 2theta | Rel. int. |
| --- | --- |
| 11.7 | 100.0 |
| 23.5 | 21.2 |
| 26.9 | 62.7 |
| 31.6 | 39.3 |
| 31.9 | 64.1 |
| 33.6 | 74.0 |
| 37.3 | 17.2 |
| 38.4 | 14.3 |

Crystal structure
Cell: 6.4770 6.4770 9.5727 Å, 125.92 125.92 31.64°
Element x y z (fractional)
Tm  0.0000  0.0000  0.0000
Tm  0.6582  0.6582  0.8855
Cd  0.8516  0.8516  0.4420
Br  0.2588  0.2588  0.7166
Cl  0.3875  0.3875  0.1323
O  0.0450  0.0450  0.8188
O  0.6152  0.6152  0.0725